[1]
# BaPbSe2F
Theoretical X-ray powder pattern, λ = 1.5418 Å (Cu Kα). Input: a structure optimized by DFT (GGA-PBE).
Neutral-atom scattering factors, no anomalous dispersion.

Crystal structure
```
data_BaPbSe2F
_chemical_formula_sum 'Ba2 Pb2 Se4 F2'
_cell_length_a 4.3883
_cell_length_b 4.3883
_cell_length_c 14.2873
_cell_angle_alpha 90.00
_cell_angle_beta 90.00
_cell_angle_gamma 90.00
_space_group_name_H-M_alt 'P 1'
_space_group_IT_number 1
_space_group_name_Hall 'P 1'
loop_
_atom_site_label
_atom_site_fract_x
_atom_site_fract_y
_atom_site_fract_z
Ba1 0.2500 0.2500 0.1095
Ba2 0.7500 0.7500 0.8905
Pb1 0.2500 0.2500 0.6045
Pb2 0.7500 0.7500 0.3955
Se1 0.2500 0.2500 0.3910
Se2 0.2500 0.2500 0.7943
Se3 0.7500 0.7500 0.2057
Se4 0.7500 0.7500 0.6090
F1 0.2500 0.7500 0.0000
F2 0.7500 0.2500 0.0000
```

Top 10 peaks for 10 to 90 degrees two-theta, by angle:
h k l	2θ/deg	I (rel.)
1 0 2	23.8	59
0 0 4	24.9	32
1 1 0	28.8	100
1 0 4	32.3	24
1 1 4	38.4	52
2 0 0	41.1	45
1 0 6	43.2	21
1 1 6	48.1	35
2 0 4	48.7	21
3 1 0	67.5	18

=====

[2]
# ScGaHPt2
Theoretical X-ray powder pattern, λ = 1.5418 Å (Cu Kα). Input: a structure optimized by DFT (GGA-PBE).
Neutral-atom scattering factors, no anomalous dispersion.

Crystal structure
```
data_ScGaHPt2
_chemical_formula_sum 'Sc1 Ga1 H1 Pt2'
_cell_length_a 4.0363
_cell_length_b 4.0363
_cell_length_c 4.2374
_cell_angle_alpha 90.00
_cell_angle_beta 90.00
_cell_angle_gamma 90.00
_space_group_name_H-M_alt 'P 1'
_space_group_IT_number 1
_space_group_name_Hall 'P 1'
loop_
_atom_site_label
_atom_site_fract_x
_atom_site_fract_y
_atom_site_fract_z
Sc1 0.0000 0.0000 0.0000
Ga1 0.5000 0.5000 0.0000
H1 0.0000 0.0000 0.5000
Pt1 0.0000 0.5000 0.5000
Pt2 0.5000 0.0000 0.5000
```

Top 10 peaks for 10 to 90 degrees two-theta, by angle:
h k l	2θ/deg	I (rel.)
0 0 1	21.0	31
1 1 0	31.3	23
1 1 1	38.0	100
0 0 2	42.7	18
2 0 0	44.9	32
2 0 1	50.1	13
2 0 2	63.7	22
1 1 3	75.0	14
3 1 1	78.2	24
2 2 2	81.3	11